No. 1
This entry pairs a crystal structure of Er2MnGe4O12 with its simulated PXRD pattern. Radiation: Cu Kα (weighted mean of Kα1 and Kα2). Structure: a structure optimized by DFT (PBE+U).
No peak broadening, texture or thermal motion is included.

Atomic structure:
```
data_Er2MnGe4O12
_chemical_formula_sum 'Er4 Mn2 Ge8 O24'
_cell_length_a 9.984
_cell_length_b 9.984
_cell_length_c 5.007
_cell_angle_alpha 90.00
_cell_angle_beta 90.00
_cell_angle_gamma 90.51
_space_group_name_H-M_alt 'P 1'
_space_group_IT_number 1
loop_
_space_group_symop_operation_xyz
'x,y,z'
loop_
_atom_site_label
_atom_site_fract_x
_atom_site_fract_y
_atom_site_fract_z
Er1 0.000 0.500 0.000
Er2 0.250 0.250 0.000
Er3 0.500 0.000 0.000
Er4 0.750 0.750 0.000
Mn1 0.000 0.000 0.000
Mn2 0.500 0.500 0.000
Ge1 0.021 0.753 0.504
Ge2 0.247 0.979 0.504
Ge3 0.253 0.521 0.504
Ge4 0.479 0.747 0.504
Ge5 0.521 0.253 0.496
Ge6 0.747 0.479 0.496
Ge7 0.753 0.021 0.496
Ge8 0.979 0.247 0.496
O1 0.063 0.330 0.755
O2 0.065 0.168 0.238
O3 0.127 0.627 0.670
O4 0.130 0.870 0.331
O5 0.168 0.065 0.762
O6 0.170 0.437 0.245
O7 0.330 0.063 0.245
O8 0.332 0.435 0.762
O9 0.370 0.630 0.331
O10 0.373 0.873 0.670
O11 0.435 0.332 0.238
O12 0.437 0.170 0.755
O13 0.563 0.830 0.245
O14 0.565 0.668 0.762
O15 0.627 0.127 0.330
O16 0.630 0.370 0.669
O17 0.668 0.565 0.238
O18 0.670 0.937 0.755
O19 0.830 0.563 0.755
O20 0.832 0.935 0.238
O21 0.870 0.130 0.669
O22 0.873 0.373 0.330
O23 0.935 0.832 0.762
O24 0.937 0.670 0.245
```

Principal peaks in the range 15 to 90 degrees two-theta, sorted by position:
d = 4.079 Å, I 65; d = 2.893 Å, I 100; d = 2.876 Å, I 95; d = 2.496 Å, I 47; d = 1.768 Å, I 53; d = 1.509 Å, I 39

***

No. 2
This entry pairs a crystal structure of KErMo2O8 with its simulated PXRD pattern. Radiation: Cu Kα (weighted mean of Kα1 and Kα2). Structure: a structure optimized by DFT (PBE+U).
No peak broadening, texture or thermal motion is included.

Atomic structure:
```
data_KErMo2O8
_chemical_formula_sum 'K2 Er2 Mo4 O16'
_cell_length_a 7.470
_cell_length_b 7.470
_cell_length_c 7.726
_cell_angle_alpha 118.32
_cell_angle_beta 118.32
_cell_angle_gamma 87.78
_space_group_name_H-M_alt 'P 1'
_space_group_IT_number 1
loop_
_space_group_symop_operation_xyz
'x,y,z'
loop_
_atom_site_label
_atom_site_fract_x
_atom_site_fract_y
_atom_site_fract_z
K1 0.199 0.801 0.750
K2 0.801 0.199 0.250
Er1 0.229 0.771 0.250
Er2 0.771 0.229 0.750
Mo1 0.301 0.304 0.761
Mo2 0.304 0.301 0.261
Mo3 0.696 0.699 0.739
Mo4 0.699 0.696 0.239
O1 0.044 0.207 0.692
O2 0.065 0.381 0.121
O3 0.207 0.044 0.192
O4 0.228 0.387 0.559
O5 0.367 0.587 0.032
O6 0.381 0.065 0.621
O7 0.387 0.228 0.059
O8 0.413 0.633 0.468
O9 0.587 0.367 0.532
O10 0.613 0.772 0.941
O11 0.619 0.935 0.379
O12 0.633 0.413 0.968
O13 0.772 0.613 0.441
O14 0.793 0.956 0.808
O15 0.935 0.619 0.879
O16 0.956 0.793 0.308
```

Principal peaks in the range 15 to 90 degrees two-theta, sorted by position:
d = 3.211 Å, I 27; d = 3.191 Å, I 100; d = 3.090 Å, I 100; d = 2.908 Å, I 45; d = 1.934 Å, I 28; d = 1.696 Å, I 22

***

No. 3
This entry pairs a crystal structure of KErMo2O8 with its simulated PXRD pattern. Radiation: Cu Kα (weighted mean of Kα1 and Kα2). Structure: a structure optimized by DFT (PBE+U).
No peak broadening, texture or thermal motion is included.

Atomic structure:
```
data_KErMo2O8
_chemical_formula_sum 'K4 Er4 Mo8 O32'
_cell_length_a 5.118
_cell_length_b 18.428
_cell_length_c 8.067
_cell_angle_alpha 90.00
_cell_angle_beta 90.00
_cell_angle_gamma 90.00
_space_group_name_H-M_alt 'P 1'
_space_group_IT_number 1
loop_
_space_group_symop_operation_xyz
'x,y,z'
loop_
_atom_site_label
_atom_site_fract_x
_atom_site_fract_y
_atom_site_fract_z
K1 0.000 0.230 0.250
K2 0.000 0.770 0.750
K3 0.500 0.270 0.750
K4 0.500 0.730 0.250
Er1 0.000 0.006 0.750
Er2 0.000 0.994 0.250
Er3 0.500 0.494 0.250
Er4 0.500 0.506 0.750
Mo1 0.022 0.399 0.516
Mo2 0.022 0.601 0.016
Mo3 0.478 0.101 0.016
Mo4 0.478 0.899 0.516
Mo5 0.522 0.101 0.484
Mo6 0.522 0.899 0.984
Mo7 0.978 0.399 0.984
Mo8 0.978 0.601 0.484
O1 0.102 0.311 0.974
O2 0.102 0.689 0.474
O3 0.232 0.401 0.337
O4 0.232 0.599 0.837
O5 0.247 0.035 0.505
O6 0.247 0.408 0.690
O7 0.247 0.592 0.190
O8 0.247 0.965 0.005
O9 0.253 0.092 0.190
O10 0.253 0.465 0.005
O11 0.253 0.535 0.505
O12 0.253 0.908 0.690
O13 0.268 0.099 0.837
O14 0.268 0.901 0.337
O15 0.398 0.189 0.474
O16 0.398 0.811 0.974
O17 0.602 0.189 0.026
O18 0.602 0.811 0.526
O19 0.732 0.099 0.663
O20 0.732 0.901 0.163
O21 0.747 0.092 0.310
O22 0.747 0.465 0.495
O23 0.747 0.535 0.995
O24 0.747 0.908 0.810
O25 0.753 0.035 0.995
O26 0.753 0.408 0.810
O27 0.753 0.592 0.310
O28 0.753 0.965 0.495
O29 0.768 0.401 0.163
O30 0.768 0.599 0.663
O31 0.898 0.311 0.526
O32 0.898 0.689 0.026
```

Principal peaks in the range 15 to 90 degrees two-theta, sorted by position:
d = 3.932 Å, I 47; d = 3.122 Å, I 100; d = 3.035 Å, I 39; d = 2.991 Å, I 53; d = 1.956 Å, I 37; d = 1.720 Å, I 20

***

No. 4
This entry pairs a crystal structure of LiEr2Tl2W4O16 with its simulated PXRD pattern. Radiation: Cu Kα (weighted mean of Kα1 and Kα2). Structure: a structure optimized by DFT (PBE+U).
No peak broadening, texture or thermal motion is included.

Atomic structure:
```
data_LiEr2Tl2W4O16
_chemical_formula_sum 'Li1 Er2 Tl2 W4 O16'
_cell_length_a 7.470
_cell_length_b 7.492
_cell_length_c 7.927
_cell_angle_alpha 62.63
_cell_angle_beta 88.91
_cell_angle_gamma 63.00
_space_group_name_H-M_alt 'P 1'
_space_group_IT_number 1
loop_
_space_group_symop_operation_xyz
'x,y,z'
loop_
_atom_site_label
_atom_site_fract_x
_atom_site_fract_y
_atom_site_fract_z
Li1 0.000 0.000 0.000
Er1 0.088 0.504 0.836
Er2 0.587 0.980 0.429
Tl1 0.200 0.006 0.734
Tl2 0.550 0.501 0.425
W1 0.028 0.037 0.339
W2 0.051 0.539 0.316
W3 0.632 0.951 0.950
W4 0.648 0.448 0.940
O1 0.100 0.451 0.579
O2 0.113 0.789 0.263
O3 0.305 0.352 0.297
O4 0.314 0.935 0.418
O5 0.375 0.544 0.857
O6 0.377 0.132 0.972
O7 0.566 0.031 0.692
O8 0.587 0.676 0.015
O9 0.702 0.211 0.215
O10 0.716 0.179 0.886
O11 0.720 0.610 0.713
O12 0.739 0.792 0.250
O13 0.945 0.711 0.008
O14 0.945 0.876 0.559
O15 0.961 0.318 0.369
O16 0.974 0.264 0.041
```

Principal peaks in the range 15 to 90 degrees two-theta, sorted by position:
d = 3.417 Å, I 47; d = 3.235 Å, I 100; d = 3.110 Å, I 53; d = 3.033 Å, I 57; d = 2.878 Å, I 57; d = 2.724 Å, I 36